The following is a simulated powder X-ray diffraction pattern of TiFe2Co2. It was derived from a structure optimized by DFT (GGA-PBE), using copper Kα.
Peak positions follow from Bragg's law for the DFT cell and can differ from measured ones.

Peak list (10 most intense, 2θ = 10–90°, low angle first)
- d = 4.999 Å, 17.74°, rel. 35, (0 2 0)
- d = 2.934 Å, 30.47°, rel. 19, (0 3 1)
- d = 2.630 Å, 34.09°, rel. 19, (0 2 2)
- d = 2.085 Å, 43.39°, rel. 67, (2 0 0)
- d = 2.026 Å, 44.74°, rel. 100, (1 4 1)
- d = 2.019 Å, 44.89°, rel. 19, (0 1 3)
- d = 1.992 Å, 45.54°, rel. 76, (1 3 2)
- d = 1.848 Å, 49.30°, rel. 34, (1 0 3)
- d = 1.734 Å, 52.81°, rel. 24, (1 2 3)
- d = 1.174 Å, 82.11°, rel. 23, (1 5 4)

Atomic structure:
```
data_TiFe2Co2
_chemical_formula_sum 'Ti4 Fe8 Co8'
_cell_length_a 4.1705
_cell_length_b 9.9979
_cell_length_c 6.1853
_cell_angle_alpha 90.00
_cell_angle_beta 90.00
_cell_angle_gamma 90.00
_space_group_name_H-M_alt 'I m m a'
_space_group_IT_number 74
_space_group_name_Hall '-I 2b 2'
loop_
_atom_site_label
_atom_site_type_symbol
_atom_site_fract_x
_atom_site_fract_y
_atom_site_fract_z
_atom_site_occupancy
Ti1 Ti 0.0000 0.2500 0.0691 1
Fe1 Fe 0.0000 0.0433 0.8299 1
Co1 Co 0.0000 0.1181 0.4495 1
```